Starting from a structure optimized by DFT (GGA+U), the X-ray powder pattern of Zr2FeO was computed for Cu Kα, 1.54184 Å.
Lines closer than 0.1° are merged.

Top 6 peaks for 2θ = 10–80°, sorted by position:
- 30.7 deg, rel. 65, hkl 0 0 9
- 34.7 deg, rel. 100, hkl 1 0 1
- 35.2 deg, rel. 38, hkl 0 1 2
- 38.6 deg, rel. 40, hkl 0 1 5
- 44.5 deg, rel. 49, hkl 0 1 8
- 49.4 deg, rel. 59, hkl 1 0 10

Structure:
abc: 3.0031 3.0031 26.2089
angles: 90.00 90.00 120.00
Space group R-3m (No. 166, hexagonal axes)
Symmetry-distinct sites (fractional):
Zr (0.0000, 0.0000, 0.1068) [6 per cell]
Fe (0.0000, 0.0000, 0.0000) [3 per cell]
O (0.0000, 0.0000, 0.5000) [3 per cell]